Record 1
Structure and calculated XRD peak list of Rb3ZrMn2O6 (a cell relaxed with PBE+U; Cu Kα X-rays).
Intensities are scaled so that the largest is 100.

Cell and atoms:
```
Rb3ZrMn2O6
1.0
2.966 -4.839 0.000
2.966 4.839 0.000
-2.194 0.000 6.439
Rb Zr Mn O
3 1 2 6
direct
0.000 0.000 0.000
0.332 0.668 0.000
0.668 0.332 0.000
0.500 0.500 0.500
0.170 0.830 0.500
0.830 0.170 0.500
0.131 0.465 0.321
0.222 0.222 0.654
0.465 0.131 0.321
0.535 0.869 0.679
0.778 0.778 0.346
0.869 0.535 0.679
```

Largest 12 diffraction maxima, sorted by position, 2θ from 10° to 90°:
2θ = 27.71°, I 63.9
2θ = 31.88°, I 37.5
2θ = 32.79°, I 65.6
2θ = 34.98°, I 61.9
2θ = 37.04°, I 100.0
2θ = 49.18°, I 36.3
2θ = 49.48°, I 16.2
2θ = 54.45°, I 32.7
2θ = 57.10°, I 14.1
2θ = 58.24°, I 20.3
2θ = 62.99°, I 13.9
2θ = 68.74°, I 14.8

Record 2
Structure and calculated XRD peak list of RbZr2Mn2O7 (a cell relaxed with PBE+U; Cu Kα X-rays).
Intensities are scaled so that the largest is 100.

Cell and atoms:
```
RbZr2Mn2O7
1.0
-2.119 2.139 8.980
2.119 -2.139 8.980
2.119 2.139 -8.980
Rb Zr Mn O
1 2 2 7
direct
0.000 0.000 0.000
0.386 0.386 0.000
0.614 0.614 0.000
0.250 0.750 0.500
0.750 0.250 0.500
0.130 0.630 0.500
0.261 0.261 0.000
0.368 0.868 0.500
0.500 0.500 0.000
0.632 0.132 0.500
0.739 0.739 0.000
0.870 0.370 0.500
```

Largest 12 diffraction maxima, sorted by position, 2θ from 10° to 90°:
2θ = 25.59°, I 60.4
2θ = 25.75°, I 59.1
2θ = 31.33°, I 100.0
2θ = 32.55°, I 50.5
2θ = 32.68°, I 50.6
2θ = 40.17°, I 59.3
2θ = 42.25°, I 58.3
2θ = 42.65°, I 65.5
2θ = 59.71°, I 32.7
2θ = 60.00°, I 66.3
2θ = 61.60°, I 33.9
2θ = 76.13°, I 29.7

Record 3
Structure and calculated XRD peak list of MnRe2O10 (a cell relaxed with PBE+U; Cu Kα X-rays).
Intensities are scaled so that the largest is 100.

Cell and atoms:
```
MnRe2O10
1.0
7.913 -2.858 0.000
7.913 2.858 0.000
-0.804 0.000 4.614
Mn Re O
1 2 10
direct
0.000 0.000 0.000
0.359 0.359 0.981
0.641 0.641 0.019
0.032 0.032 0.610
0.154 0.670 0.889
0.252 0.252 0.820
0.330 0.846 0.111
0.363 0.363 0.351
0.637 0.637 0.649
0.670 0.154 0.889
0.748 0.748 0.180
0.846 0.330 0.111
0.968 0.968 0.390
```

Largest 12 diffraction maxima, sorted by position, 2θ from 10° to 90°:
2θ = 16.52°, I 27.7
2θ = 19.24°, I 77.4
2θ = 22.81°, I 23.0
2θ = 23.13°, I 100.0
2θ = 24.69°, I 23.2
2θ = 27.30°, I 13.6
2θ = 28.26°, I 39.1
2θ = 31.30°, I 25.0
2θ = 32.14°, I 23.4
2θ = 37.00°, I 17.6
2θ = 39.06°, I 16.9
2θ = 51.06°, I 16.8

Record 4
Structure and calculated XRD peak list of MnReO4 (a cell relaxed with PBE+U; Cu Kα X-rays).
Intensities are scaled so that the largest is 100.

Cell and atoms:
```
MnReO4
1.0
4.817 0.000 0.000
0.000 5.746 0.000
-0.249 0.000 5.153
Mn Re O
2 2 8
direct
0.000 0.174 0.250
0.000 0.826 0.750
0.500 0.333 0.750
0.500 0.667 0.250
0.240 0.130 0.612
0.240 0.870 0.112
0.294 0.397 0.058
0.294 0.603 0.558
0.706 0.397 0.442
0.706 0.603 0.942
0.760 0.130 0.888
0.760 0.870 0.388
```

Largest 12 diffraction maxima, sorted by position, 2θ from 10° to 90°:
2θ = 15.42°, I 24.4
2θ = 18.44°, I 62.3
2θ = 23.18°, I 56.8
2θ = 24.12°, I 60.7
2θ = 29.25°, I 100.0
2θ = 30.31°, I 90.5
2θ = 34.82°, I 32.4
2θ = 35.78°, I 40.1
2θ = 40.95°, I 25.1
2θ = 51.34°, I 28.8
2θ = 52.03°, I 24.8
2θ = 53.37°, I 25.1